For Ac2H6IrRh, a structure optimized by DFT (GGA-PBE) gives the simulated powder diffractogram in this record (Cu Ka).
No peak broadening, texture or thermal motion is included.

Main lines, in order of rising 2θ (5 to 70 degrees two-theta):
2θ = 19.68°, I 4; 2θ = 22.99°, I 4; 2θ = 32.24°, I 100; 2θ = 32.74°, I 48; 2θ = 45.49°, I 10; 2θ = 46.98°, I 18; 2θ = 57.17°, I 20; 2θ = 58.12°, I 38; 2θ = 67.47°, I 12; 2θ = 68.62°, I 6

Crystal structure
Lattice parameters (Å, degrees): 7.7326 7.7407 7.9751 90.00 90.00 90.00
Space group Fmm2 (No. 42)
Inequivalent atoms, fractional coordinates:
Ac (0.2500, 0.2500, 0.0000) [8 per cell]
H (0.0000, 0.0000, 0.0237) [4 per cell]
H (0.0000, 0.0000, 0.4756) [4 per cell]
H (0.0000, 0.2374, 0.2501) [8 per cell]
H (0.2409, 0.0000, 0.2504) [8 per cell]
Ir (0.0000, 0.0000, 0.2499) [4 per cell]
Rh (0.0000, 0.0000, 0.7510) [4 per cell]


For AcSnH6Ir2, a structure optimized by DFT (GGA-PBE) gives the simulated powder diffractogram in this record (Cu Ka).
No peak broadening, texture or thermal motion is included.

Main lines, in order of rising 2θ (5 to 70 degrees two-theta):
2θ = 23.24°, I 19; 2θ = 25.89°, I 18; 2θ = 28.85°, I 13; 2θ = 32.48°, I 100; 2θ = 34.93°, I 29; 2θ = 37.93°, I 11; 2θ = 39.13°, I 23; 2θ = 44.10°, I 21; 2θ = 49.34°, I 16; 2θ = 66.74°, I 13

Crystal structure
Lattice parameters (Å, degrees): 8.2807 12.3796 4.6040 90.00 90.09 90.00
Space group C2/c (No. 15)
Inequivalent atoms, fractional coordinates:
Ac (0.0000, 0.1711, 0.2500) [4 per cell]
Sn (0.0000, 0.3932, 0.7500) [4 per cell]
H (0.1777, 0.0000, 0.9998) [8 per cell]
H (0.2310, 0.3180, 0.4696) [8 per cell]
H (0.2321, 0.3177, 0.0317) [8 per cell]
Ir (0.2070, 0.4199, 0.2500) [8 per cell]


For SrAcH6Ir2, a structure optimized by DFT (GGA-PBE) gives the simulated powder diffractogram in this record (Cu Ka).
No peak broadening, texture or thermal motion is included.

Main lines, in order of rising 2θ (5 to 70 degrees two-theta):
2θ = 14.52°, I 54; 2θ = 28.60°, I 62; 2θ = 29.03°, I 67; 2θ = 29.25°, I 36; 2θ = 29.43°, I 59; 2θ = 34.94°, I 43; 2θ = 35.26°, I 50; 2θ = 35.82°, I 100; 2θ = 38.52°, I 67; 2θ = 49.22°, I 29

Crystal structure
Lattice parameters (Å, degrees): 7.9390 10.2730 6.4389 90.00 107.15 90.00
Space group C2/c (No. 15)
Inequivalent atoms, fractional coordinates:
Sr (0.0000, 0.0782, 0.2500) [4 per cell]
Ac (0.0000, 0.3526, 0.7500) [4 per cell]
H (0.1018, 0.1307, 0.6436) [8 per cell]
H (0.1763, 0.2427, 0.1271) [8 per cell]
H (0.1874, 0.4698, 0.5168) [8 per cell]
Ir (0.1786, 0.3549, 0.3223) [8 per cell]


For KAcH8Pd2, a structure optimized by DFT (GGA-PBE) gives the simulated powder diffractogram in this record (Cu Ka).
No peak broadening, texture or thermal motion is included.

Main lines, in order of rising 2θ (5 to 70 degrees two-theta):
2θ = 9.95°, I 62; 2θ = 23.09°, I 17; 2θ = 26.52°, I 100; 2θ = 32.90°, I 18; 2θ = 35.46°, I 44; 2θ = 40.12°, I 34; 2θ = 41.44°, I 14; 2θ = 48.74°, I 19; 2θ = 58.41°, I 18; 2θ = 64.90°, I 16

Crystal structure
Lattice parameters (Å, degrees): 4.4951 4.4951 26.6559 90.00 90.00 120.00
Space group R-3m (No. 166, hexagonal axes)
Inequivalent atoms, fractional coordinates:
K (0.0000, 0.0000, 0.0000) [3 per cell]
Ac (0.0000, 0.0000, 0.5000) [3 per cell]
H (0.0000, 0.0000, 0.1723) [6 per cell]
H (0.0608, 0.5304, 0.0671) [18 per cell]
Pd (0.0000, 0.0000, 0.2407) [6 per cell]